# 1
Structure and simulated X-ray diffraction stick pattern of Li3AlN2 (a PBE-relaxed structure; Cu Kα (weighted mean of Kα1 and Kα2)).
Intensities are scaled so that the largest is 100.

Lattice parameters (Å, degrees): 9.518 9.518 9.518 90.00 90.00 90.00
Space group Ia-3 (No. 206)
Unique sites:
1 Li 0.098 0.139 0.874 x48
2 Al 0.135 0.135 0.135 x16
3 N 0.000 0.250 0.034 x24
4 N 0.250 0.250 0.250 x8

Peak list (10 most intense, 2θ = 5–70°, by angle)
- 22.9 deg, I = 100, hkl 2 1 1
- 32.6 deg, I = 51, hkl 2 2 2
- 35.3 deg, I = 33, hkl 3 1 2
- 37.8 deg, I = 9, hkl 4 0 0
- 44.7 deg, I = 20, hkl 3 3 2
- 48.8 deg, I = 15, hkl 4 3 1
- 54.5 deg, I = 80, hkl 4 4 0
- 59.9 deg, I = 15, hkl 5 2 3
- 65.0 deg, I = 7, hkl 6 2 2
- 66.6 deg, I = 16, hkl 6 3 1


# 2
Structure and simulated X-ray diffraction stick pattern of Sr4Li2Ta2Al2N8O (a PBE-relaxed structure; Cu Kα (weighted mean of Kα1 and Kα2)).
Intensities are scaled so that the largest is 100.

Lattice parameters (Å, degrees): 6.065 10.046 10.981 90.00 120.31 90.00
Space group P2_1/c (No. 14)
Unique sites:
1 Sr 0.068 0.245 0.071 x4
2 Sr 0.262 0.562 0.794 x4
3 Li 0.310 0.012 0.003 x4
4 Ta 0.275 0.600 0.241 x4
5 Al 0.387 0.247 0.903 x4
6 N 0.069 0.167 0.330 x4
7 N 0.318 0.086 0.800 x4
8 N 0.383 0.633 0.103 x4
9 N 0.496 0.699 0.411 x4
10 O 0.000 0.000 0.000 x2

Peak list (10 most intense, 2θ = 5–70°, by angle)
- 18.7 deg, I = 64, hkl 0 0 2
- 20.0 deg, I = 50, hkl 0 2 1
- 25.8 deg, I = 49, hkl 0 2 2
- 29.5 deg, I = 82, hkl 2 0 -2
- 31.7 deg, I = 100, hkl 1 3 0
- 32.2 deg, I = 70, hkl 1 3 -2
- 32.5 deg, I = 49, hkl 1 1 2
- 33.9 deg, I = 44, hkl 1 1 -4
- 40.7 deg, I = 28, hkl 0 4 2
- 53.5 deg, I = 26, hkl 3 3 -2


# 3
Structure and simulated X-ray diffraction stick pattern of Na2Li3Ti3AlP6O24 (a PBE-relaxed structure; Cu Kα (weighted mean of Kα1 and Kα2)).
Intensities are scaled so that the largest is 100.

Lattice parameters (Å, degrees): 8.4815 8.4815 22.4018 90.00 90.00 120.00
Space group R3 (No. 146, hexagonal axes)
Unique sites:
1 Na 0.0000 0.0000 0.0000 x3
2 Na 0.0000 0.0000 0.4885 x3
3 Li 0.0313 0.6945 0.6094 x9
4 Ti 0.0000 0.0000 0.1380 x3
5 Ti 0.0000 0.0000 0.3460 x3
6 Ti 0.0000 0.0000 0.8454 x3
7 Al 0.0000 0.0000 0.6455 x3
8 P 0.0014 0.7139 0.7420 x9
9 P 0.0020 0.2955 0.2436 x9
10 O 0.0081 0.8225 0.0802 x9
11 O 0.0122 0.2094 0.1847 x9
12 O 0.0546 0.8417 0.6867 x9
13 O 0.0675 0.8557 0.3998 x9
14 O 0.1443 0.6726 0.4672 x9
15 O 0.1714 0.4587 0.5743 x9
16 O 0.1886 0.4386 0.9593 x9
17 O 0.1980 0.4547 0.2579 x9

Peak list (10 most intense, 2θ = 5–70°, by angle)
- 14.4 deg, I = 15, hkl 0 1 2
- 19.9 deg, I = 19, hkl 1 0 4
- 20.9 deg, I = 20, hkl 1 1 0
- 24.1 deg, I = 100, hkl 2 -1 3
- 29.1 deg, I = 21, hkl 0 2 4
- 31.9 deg, I = 54, hkl 2 -1 6
- 32.5 deg, I = 15, hkl 3 -1 1
- 36.7 deg, I = 16, hkl 3 0 0
- 49.4 deg, I = 17, hkl 2 2 6
- 57.5 deg, I = 11, hkl 4 1 0


# 4
Structure and simulated X-ray diffraction stick pattern of NaLi3Ti2Al2P6O24 (a PBE-relaxed structure; Cu Kα (weighted mean of Kα1 and Kα2)).
Intensities are scaled so that the largest is 100.

Lattice parameters (Å, degrees): 8.435 8.466 8.695 60.98 61.23 60.15
Space group P1 (No. 1)
Unique sites:
1 Na 0.000 0.000 0.000 x1
2 Li 0.317 0.730 0.424 x1
3 Li 0.539 0.303 0.416 x1
4 Li 0.824 0.572 0.345 x1
5 Ti 0.145 0.139 0.566 x1
6 Ti 0.364 0.357 0.910 x1
7 Al 0.648 0.641 0.061 x1
8 Al 0.854 0.853 0.433 x1
9 P 0.030 0.746 0.748 x1
10 P 0.254 0.534 0.244 x1
11 P 0.472 0.025 0.747 x1
12 P 0.543 0.956 0.243 x1
13 P 0.750 0.468 0.745 x1
14 P 0.965 0.247 0.238 x1
15 O 0.014 0.759 0.572 x1
16 O 0.029 0.943 0.722 x1
17 O 0.053 0.691 0.273 x1
18 O 0.124 0.299 0.056 x1
19 O 0.237 0.599 0.745 x1
20 O 0.267 0.340 0.410 x1
21 O 0.295 0.024 0.731 x1
22 O 0.305 0.498 0.067 x1
23 O 0.353 0.973 0.411 x1
24 O 0.405 0.593 0.238 x1
25 O 0.418 0.231 0.744 x1
26 O 0.502 0.118 0.067 x1
27 O 0.508 0.870 0.923 x1
28 O 0.598 0.753 0.237 x1
29 O 0.599 0.407 0.757 x1
30 O 0.643 0.014 0.566 x1
31 O 0.702 0.503 0.920 x1
32 O 0.711 0.960 0.265 x1
33 O 0.762 0.401 0.234 x1
34 O 0.763 0.643 0.566 x1
35 O 0.877 0.692 0.929 x1
36 O 0.945 0.296 0.721 x1
37 O 0.969 0.050 0.271 x1
38 O 0.993 0.260 0.397 x1

Peak list (10 most intense, 2θ = 5–70°, by angle)
- 14.6 deg, I = 20, hkl 1 1 0
- 20.4 deg, I = 24, hkl 1 1 2
- 21.0 deg, I = 15, hkl 1 -1 0
- 24.4 deg, I = 100, hkl 1 -1 1
- 24.5 deg, I = 16, hkl 2 1 2
- 24.7 deg, I = 9, hkl 0 0 2
- 29.4 deg, I = 20, hkl 0 2 2
- 29.5 deg, I = 9, hkl 2 0 2
- 32.6 deg, I = 36, hkl 2 1 -1
- 32.7 deg, I = 17, hkl 1 -1 2


# 5
Structure and simulated X-ray diffraction stick pattern of Na2LiTi3AlP6O24 (a PBE-relaxed structure; Cu Kα (weighted mean of Kα1 and Kα2)).
Intensities are scaled so that the largest is 100.

Lattice parameters (Å, degrees): 8.568 8.571 8.768 61.26 61.34 60.13
Space group P1 (No. 1)
Unique sites:
1 Na 0.000 0.000 0.000 x1
2 Na 0.490 0.471 0.509 x1
3 Li 0.876 0.635 0.207 x1
4 Ti 0.152 0.112 0.569 x1
5 Ti 0.642 0.614 0.066 x1
6 Ti 0.853 0.827 0.444 x1
7 Al 0.356 0.321 0.936 x1
8 P 0.043 0.712 0.766 x1
9 P 0.250 0.501 0.250 x1
10 P 0.464 0.017 0.752 x1
11 P 0.538 0.939 0.247 x1
12 P 0.745 0.433 0.748 x1
13 P 0.976 0.218 0.243 x1
14 O 0.018 0.183 0.413 x1
15 O 0.071 0.683 0.267 x1
16 O 0.072 0.889 0.736 x1
17 O 0.139 0.245 0.066 x1
18 O 0.224 0.336 0.432 x1
19 O 0.224 0.539 0.769 x1
20 O 0.269 0.464 0.088 x1
21 O 0.277 0.033 0.750 x1
22 O 0.380 0.965 0.428 x1
23 O 0.424 0.534 0.226 x1
24 O 0.448 0.196 0.763 x1
25 O 0.501 0.104 0.079 x1
26 O 0.511 0.841 0.919 x1
27 O 0.566 0.411 0.778 x1
28 O 0.566 0.746 0.243 x1
29 O 0.626 0.979 0.575 x1
30 O 0.727 0.474 0.913 x1
31 O 0.733 0.902 0.254 x1
32 O 0.779 0.602 0.571 x1
33 O 0.792 0.398 0.240 x1
34 O 0.879 0.684 0.948 x1
35 O 0.920 0.251 0.734 x1
36 O 0.936 0.046 0.273 x1
37 O 0.985 0.749 0.603 x1

Peak list (10 most intense, 2θ = 5–70°, by angle)
- 14.4 deg, I = 21, hkl 1 1 0
- 20.1 deg, I = 17, hkl 0 1 -1
- 20.7 deg, I = 40, hkl 1 -1 0
- 24.0 deg, I = 100, hkl -1 1 1
- 24.2 deg, I = 49, hkl 2 1 2
- 29.1 deg, I = 18, hkl 0 2 2
- 32.1 deg, I = 37, hkl 2 1 -1
- 32.2 deg, I = 28, hkl 1 -1 2
- 32.4 deg, I = 21, hkl 1 2 3
- 36.3 deg, I = 21, hkl 3 3 2


# 6
Structure and simulated X-ray diffraction stick pattern of Na2LiAlP2 (a PBE-relaxed structure; Cu Kα (weighted mean of Kα1 and Kα2)).
Intensities are scaled so that the largest is 100.

Lattice parameters (Å, degrees): 11.599 13.652 5.796 90.00 90.00 90.00
Space group Cmce (No. 64)
Unique sites:
1 Na 0.000 0.178 0.214 x8
2 Na 0.250 0.182 0.750 x8
3 Li 0.119 0.000 0.000 x8
4 Al 0.130 0.000 0.500 x8
5 P 0.000 0.104 0.714 x8
6 P 0.250 0.101 0.250 x8

Peak list (10 most intense, 2θ = 5–70°, by angle)
- 13.0 deg, I = 20, hkl 0 2 0
- 18.3 deg, I = 26, hkl 1 1 1
- 30.8 deg, I = 59, hkl 4 0 0
- 33.6 deg, I = 34, hkl 4 2 0
- 34.2 deg, I = 100, hkl 2 4 1
- 40.8 deg, I = 76, hkl 4 4 0
- 44.2 deg, I = 66, hkl 4 0 2
- 45.6 deg, I = 26, hkl 2 6 1
- 57.0 deg, I = 38, hkl 6 4 1
- 64.3 deg, I = 19, hkl 8 0 0


# 7
Structure and simulated X-ray diffraction stick pattern of LiNd8Al2 (a PBE-relaxed structure; Cu Kα (weighted mean of Kα1 and Kα2)).
Intensities are scaled so that the largest is 100.

Lattice parameters (Å, degrees): 18.331 5.218 7.197 90.00 101.96 90.00
Space group C2/m (No. 12)
Unique sites:
1 Li 0.000 0.000 0.000 x2
2 Nd 0.027 0.500 0.752 x4
3 Nd 0.097 0.000 0.467 x4
4 Nd 0.162 0.000 0.951 x4
5 Nd 0.194 0.500 0.283 x4
6 Al 0.197 0.500 0.724 x4

Peak list (10 most intense, 2θ = 5–70°, by angle)
- 21.2 deg, I = 27, hkl 1 1 -1
- 22.6 deg, I = 23, hkl 3 1 0
- 27.5 deg, I = 44, hkl 3 1 1
- 30.2 deg, I = 100, hkl 5 1 0
- 30.7 deg, I = 70, hkl 5 1 -1
- 31.7 deg, I = 24, hkl 3 1 -2
- 31.9 deg, I = 71, hkl 1 1 2
- 34.4 deg, I = 59, hkl 0 2 0
- 53.3 deg, I = 33, hkl 9 1 1
- 56.9 deg, I = 23, hkl 9 1 -3


# 8
Structure and simulated X-ray diffraction stick pattern of LiNdAlPd3 (a PBE-relaxed structure; Cu Kα (weighted mean of Kα1 and Kα2)).
Intensities are scaled so that the largest is 100.

Lattice parameters (Å, degrees): 5.770 12.632 5.944 90.00 90.00 90.00
Space group Cmcm (No. 63)
Unique sites:
1 Li 0.000 0.105 0.250 x4
2 Nd 0.000 0.322 0.250 x4
3 Al 0.000 0.382 0.750 x4
4 Pd 0.000 0.180 0.750 x4
5 Pd 0.247 0.000 0.000 x8

Peak list (10 most intense, 2θ = 5–70°, by angle)
- 20.5 deg, I = 67, hkl 0 2 1
- 32.1 deg, I = 52, hkl 0 4 1
- 33.3 deg, I = 100, hkl 0 2 2
- 34.2 deg, I = 93, hkl 2 2 0
- 41.7 deg, I = 36, hkl 0 4 2
- 42.4 deg, I = 34, hkl 2 4 0
- 43.0 deg, I = 34, hkl 0 6 0
- 43.7 deg, I = 85, hkl 2 0 2
- 45.2 deg, I = 40, hkl 2 4 1
- 63.0 deg, I = 42, hkl 2 6 2